(1)
For HfGa2Br6, a structure optimized by DFT (GGA-PBE) gives the simulated powder XRD pattern in this record (Cu Kα X-rays).
Intensities are scaled so that the largest is 1000.

Structure:
Unit cell a=7.2400 b=8.1099 c=12.4257 alpha=90.00 beta=122.00 gamma=90.00
Space group P2_1/c (No. 14)
Asymmetric unit:
Hf (0.0000, 0.0000, 0.0000) x2
Ga (0.3202, 0.1130, 0.7964) x4
Br (0.1079, 0.0409, 0.2361) x4
Br (0.2307, 0.7287, 0.0652) x4
Br (0.3445, 0.1727, 0.0463) x4

Top 12 peaks for 2θ = 10–80°, in order of rising 2θ:
hkl 0 1 1, d = 6.427 Å, rel. 1000
hkl 1 0 0, d = 6.140 Å, rel. 168
hkl 1 1 -1, d = 5.395 Å, rel. 177
hkl 1 2 0, d = 3.384 Å, rel. 281
hkl 2 1 -1, d = 3.202 Å, rel. 337
hkl 1 0 -4, d = 3.085 Å, rel. 426
hkl 1 2 1, d = 2.978 Å, rel. 179
hkl 2 2 -2, d = 2.698 Å, rel. 189
hkl 1 3 -1, d = 2.532 Å, rel. 319
hkl 2 2 0, d = 2.448 Å, rel. 176
hkl 3 1 -1, d = 2.163 Å, rel. 182
hkl 3 1 -5, d = 2.070 Å, rel. 203


(2)
For HfGa6Br12, a structure optimized by DFT (GGA-PBE) gives the simulated powder XRD pattern in this record (Cu Kα X-rays).
Intensities are scaled so that the largest is 1000.

Structure:
Unit cell a=12.7241 b=12.7241 c=14.3785 alpha=90.00 beta=90.00 gamma=120.00
Space group R-3 (No. 148, hexagonal axes)
Asymmetric unit:
Hf (0.0000, 0.0000, 0.0000) x3
Ga (0.0230, 0.2632, 0.5932) x18
Br (0.0052, 0.7700, 0.6045) x18
Br (0.0331, 0.1794, 0.8903) x18

Top 12 peaks for 2θ = 10–80°, in order of rising 2θ:
hkl 1 0 1, d = 8.746 Å, rel. 507
hkl 0 1 2, d = 6.021 Å, rel. 894
hkl 0 2 1, d = 5.145 Å, rel. 465
hkl 2 1 1, d = 4.000 Å, rel. 1000
hkl 1 2 2, d = 3.604 Å, rel. 502
hkl 3 0 3, d = 2.915 Å, rel. 389
hkl 3 1 2, d = 2.813 Å, rel. 535
hkl 2 1 4, d = 2.721 Å, rel. 714
hkl 1 4 0, d = 2.405 Å, rel. 562
hkl 3 2 4, d = 2.068 Å, rel. 357
hkl 2 4 1, d = 2.061 Å, rel. 365
hkl 0 4 5, d = 1.989 Å, rel. 531


(3)
For KHfGa2Br8, a structure optimized by DFT (GGA-PBE) gives the simulated powder XRD pattern in this record (Cu Kα X-rays).
Intensities are scaled so that the largest is 1000.

Structure:
Unit cell a=6.6543 b=7.0490 c=9.0152 alpha=89.75 beta=89.61 gamma=87.97
Space group P-1 (No. 2)
Asymmetric unit:
K (0.0000, 0.0000, 0.0000) x1
Hf (0.0000, 0.0000, 0.5000) x1
Ga (0.4970, 0.4990, 0.2342) x2
Br (0.2203, 0.2992, 0.4998) x2
Br (0.2353, 0.8464, 0.7061) x2
Br (0.2377, 0.8488, 0.2927) x2
Br (0.2928, 0.3607, 0.0002) x2

Top 12 peaks for 2θ = 10–80°, in order of rising 2θ:
hkl 0 1 1, d = 5.551 Å, rel. 1000
hkl 1 1 0, d = 4.924 Å, rel. 911
hkl 1 -1 0, d = 4.752 Å, rel. 907
hkl 1 -1 2, d = 3.274 Å, rel. 747
hkl -1 1 2, d = 3.267 Å, rel. 747
hkl 1 2 0, d = 3.159 Å, rel. 725
hkl 1 -2 0, d = 3.068 Å, rel. 494
hkl 1 -2 2, d = 2.538 Å, rel. 573
hkl 2 -1 2, d = 2.483 Å, rel. 487
hkl 0 0 4, d = 2.254 Å, rel. 537
hkl 0 3 2, d = 2.086 Å, rel. 515
hkl 0 3 -2, d = 2.079 Å, rel. 527


(4)
For HfScGa2Br, a structure optimized by DFT (GGA-PBE) gives the simulated powder XRD pattern in this record (Cu Kα X-rays).
Intensities are scaled so that the largest is 1000.

Structure:
Unit cell a=5.1340 b=5.1340 c=4.9280 alpha=90.00 beta=90.00 gamma=90.00
Space group P4/mmm (No. 123)
Asymmetric unit:
Hf (0.0000, 0.0000, 0.0000) x1
Sc (0.5000, 0.5000, 0.5000) x1
Ga (0.0000, 0.5000, 0.5000) x2
Br (0.5000, 0.5000, 0.0000) x1

Top 12 peaks for 2θ = 10–80°, in order of rising 2θ:
hkl 1 1 0, d = 3.630 Å, rel. 166
hkl 1 0 1, d = 3.555 Å, rel. 244
hkl 1 1 1, d = 2.923 Å, rel. 1000
hkl 2 0 0, d = 2.567 Å, rel. 548
hkl 0 0 2, d = 2.464 Å, rel. 244
hkl 2 1 1, d = 2.081 Å, rel. 113
hkl 1 1 2, d = 2.039 Å, rel. 66
hkl 2 2 0, d = 1.815 Å, rel. 192
hkl 2 0 2, d = 1.778 Å, rel. 358
hkl 3 1 1, d = 1.542 Å, rel. 295
hkl 1 1 3, d = 1.497 Å, rel. 133
hkl 2 2 2, d = 1.461 Å, rel. 186


(5)
For HfGaSe2Br, a structure optimized by DFT (GGA-PBE) gives the simulated powder XRD pattern in this record (Cu Kα X-rays).
Intensities are scaled so that the largest is 1000.

Structure:
Unit cell a=5.1999 b=5.1999 c=5.3353 alpha=90.00 beta=90.00 gamma=90.00
Space group P4/mmm (No. 123)
Asymmetric unit:
Hf (0.0000, 0.0000, 0.0000) x1
Ga (0.5000, 0.5000, 0.5000) x1
Se (0.0000, 0.5000, 0.0000) x2
Br (0.0000, 0.0000, 0.5000) x1

Top 12 peaks for 2θ = 10–80°, in order of rising 2θ:
hkl 0 0 1, d = 5.335 Å, rel. 401
hkl 1 0 0, d = 5.200 Å, rel. 801
hkl 1 0 1, d = 3.724 Å, rel. 584
hkl 1 1 0, d = 3.677 Å, rel. 301
hkl 1 1 1, d = 3.028 Å, rel. 251
hkl 0 0 2, d = 2.668 Å, rel. 537
hkl 2 0 0, d = 2.600 Å, rel. 1000
hkl 1 0 2, d = 2.374 Å, rel. 217
hkl 2 1 1, d = 2.132 Å, rel. 265
hkl 2 0 2, d = 1.862 Å, rel. 738
hkl 2 2 0, d = 1.838 Å, rel. 354
hkl 2 2 2, d = 1.514 Å, rel. 374


(6)
For GaHg2Br3, a structure optimized by DFT (GGA-PBE) gives the simulated powder XRD pattern in this record (Cu Kα X-rays).
Intensities are scaled so that the largest is 1000.

Structure:
Unit cell a=14.8777 b=11.3579 c=6.9996 alpha=90.00 beta=109.52 gamma=90.00
Space group C2/c (No. 15)
Asymmetric unit:
Ga (0.0000, 0.0622, 0.2500) x4
Hg (0.1254, 0.4333, 0.8663) x8
Br (0.0000, 0.2645, 0.2500) x4
Br (0.1158, 0.0482, 0.6616) x8

Top 12 peaks for 2θ = 10–80°, in order of rising 2θ:
hkl 2 0 0, d = 7.011 Å, rel. 353
hkl 0 2 0, d = 5.679 Å, rel. 975
hkl 3 1 0, d = 4.316 Å, rel. 614
hkl 2 2 -1, d = 4.087 Å, rel. 492
hkl 4 0 0, d = 3.506 Å, rel. 366
hkl 2 0 -2, d = 3.464 Å, rel. 374
hkl 1 3 -1, d = 3.324 Å, rel. 1000
hkl 3 1 -2, d = 3.130 Å, rel. 350
hkl 4 2 0, d = 2.983 Å, rel. 547
hkl 1 1 2, d = 2.897 Å, rel. 525
hkl 2 4 -1, d = 2.558 Å, rel. 380
hkl 2 4 -3, d = 1.802 Å, rel. 499